Entry 1:
Na2InGeP3O12: computed X-ray powder pattern (Cu Kα (λ = 1.5418 Å)), based on a PBE-relaxed structure.
Intensities are scaled so that the largest is 100.

Largest 6 diffraction maxima, in order of rising 2θ, 10° ≤ 2θ ≤ 90°:
- 14.12 deg, intensity 34
- 19.84 deg, intensity 80
- 20.25 deg, intensity 85
- 23.60 deg, intensity 57
- 28.54 deg, intensity 34
- 31.68 deg, intensity 100

Atomic structure:
```
data_Na2InGeP3O12
_cell_length_a 15.228
_cell_length_b 8.750
_cell_length_c 8.947
_cell_angle_alpha 90.00
_cell_angle_beta 124.38
_cell_angle_gamma 90.00
_space_group_name_H-M_alt 'C 1 c 1'
_space_group_IT_number 9
_space_group_name_Hall 'C -2yc'
loop_
_atom_site_label
_atom_site_type_symbol
_atom_site_fract_x
_atom_site_fract_y
_atom_site_fract_z
Na1 Na 0.000 0.111 0.000
Na2 Na 0.247 0.251 0.248
In1 In 0.102 0.255 0.805
Ge1 Ge 0.393 0.245 0.694
P1 P 0.146 0.112 0.496
P2 P 0.354 0.402 0.006
P3 P 0.491 0.044 0.499
O1 O 0.044 0.184 0.320
O2 O 0.062 0.344 0.982
O3 O 0.067 0.456 0.671
O4 O 0.142 0.127 0.662
O5 O 0.151 0.062 0.981
O6 O 0.245 0.193 0.520
O7 O 0.257 0.335 0.989
O8 O 0.355 0.417 0.518
O9 O 0.363 0.375 0.839
O10 O 0.411 0.144 0.516
O11 O 0.420 0.061 0.828
O12 O 0.450 0.339 0.182
```

Entry 2:
SiO2: computed X-ray powder pattern (Cu Kα (λ = 1.5418 Å)), based on a PBE-relaxed structure.
Intensities are scaled so that the largest is 100.

Largest 6 diffraction maxima, in order of rising 2θ, 10° ≤ 2θ ≤ 90°:
- 19.03 deg, intensity 13
- 19.85 deg, intensity 100
- 20.19 deg, intensity 64
- 25.90 deg, intensity 30
- 30.30 deg, intensity 13
- 35.16 deg, intensity 17

Atomic structure:
```
data_SiO2
_cell_length_a 18.657
_cell_length_b 18.657
_cell_length_c 5.297
_cell_angle_alpha 90.00
_cell_angle_beta 90.00
_cell_angle_gamma 90.00
_space_group_name_H-M_alt 'I 4/m m m'
_space_group_IT_number 139
_space_group_name_Hall '-I 4 2'
loop_
_atom_site_label
_atom_site_type_symbol
_atom_site_fract_x
_atom_site_fract_y
_atom_site_fract_z
Si1 Si 0.000 0.121 0.000
Si2 Si 0.000 0.219 0.500
Si3 Si 0.158 0.274 0.500
O1 O 0.000 0.170 0.250
O2 O 0.071 0.269 0.500
O3 O 0.072 0.072 0.000
O4 O 0.183 0.317 0.250
O5 O 0.193 0.193 0.500
```

Entry 3:
ScRu3C: computed X-ray powder pattern (Cu Kα (λ = 1.5418 Å)), based on a PBE-relaxed structure.
Intensities are scaled so that the largest is 100.

Largest 6 diffraction maxima, in order of rising 2θ, 10° ≤ 2θ ≤ 90°:
- 21.74 deg, intensity 14
- 38.13 deg, intensity 100
- 44.32 deg, intensity 54
- 64.48 deg, intensity 34
- 77.44 deg, intensity 36
- 81.59 deg, intensity 11

Atomic structure:
```
data_ScRu3C
_cell_length_a 4.087
_cell_length_b 4.087
_cell_length_c 4.087
_cell_angle_alpha 90.00
_cell_angle_beta 90.00
_cell_angle_gamma 90.00
_space_group_name_H-M_alt 'P m -3 m'
_space_group_IT_number 221
_space_group_name_Hall '-P 4 2 3'
loop_
_atom_site_label
_atom_site_type_symbol
_atom_site_fract_x
_atom_site_fract_y
_atom_site_fract_z
Sc1 Sc 0.000 0.000 0.000
Ru1 Ru 0.000 0.500 0.500
C1 C 0.500 0.500 0.500
```

Entry 4:
TiCu3: computed X-ray powder pattern (Cu Kα (λ = 1.5418 Å)), based on a PBE-relaxed structure.
Intensities are scaled so that the largest is 100.

Largest 6 diffraction maxima, in order of rising 2θ, 10° ≤ 2θ ≤ 90°:
- 38.92 deg, intensity 23
- 41.95 deg, intensity 39
- 44.44 deg, intensity 100
- 46.08 deg, intensity 41
- 78.37 deg, intensity 16
- 87.86 deg, intensity 15

Atomic structure:
```
data_TiCu3
_cell_length_a 4.308
_cell_length_b 5.427
_cell_length_c 4.430
_cell_angle_alpha 90.00
_cell_angle_beta 90.00
_cell_angle_gamma 90.00
_space_group_name_H-M_alt 'P m m n'
_space_group_IT_number 59
loop_
_space_group_symop_operation_xyz
'x,y,z'
'-x,-y,-z'
'-x+1/2,-y+1/2,z'
'x+1/2,y+1/2,-z'
'x+1/2,-y,-z'
'-x+1/2,y,z'
'-x,y+1/2,-z'
'x,-y+1/2,z'
loop_
_atom_site_label
_atom_site_type_symbol
_atom_site_fract_x
_atom_site_fract_y
_atom_site_fract_z
Ti1 Ti 0.250 0.250 0.161
Cu1 Cu 0.250 0.503 0.668
Cu2 Cu 0.250 0.750 0.181
```

Entry 5:
MoWS4: computed X-ray powder pattern (Cu Kα (λ = 1.5418 Å)), based on a PBE-relaxed structure.
Intensities are scaled so that the largest is 100.

Largest 6 diffraction maxima, in order of rising 2θ, 10° ≤ 2θ ≤ 90°:
- 12.35 deg, intensity 100
- 14.83 deg, intensity 25
- 32.42 deg, intensity 23
- 33.28 deg, intensity 18
- 38.27 deg, intensity 47
- 46.53 deg, intensity 28

Atomic structure:
```
data_MoWS4
_cell_length_a 3.1911
_cell_length_b 3.1911
_cell_length_c 35.8388
_cell_angle_alpha 90.00
_cell_angle_beta 90.00
_cell_angle_gamma 120.00
_space_group_name_H-M_alt 'P 3 m 1'
_space_group_IT_number 156
_space_group_name_Hall 'P 3 -2"'
loop_
_atom_site_label
_atom_site_type_symbol
_atom_site_fract_x
_atom_site_fract_y
_atom_site_fract_z
Mo1 Mo 0.0000 0.0000 0.0000
Mo2 Mo 0.0000 0.0000 0.3758
W1 W 0.3333 0.6667 0.1879
W2 W 0.3333 0.6667 0.5637
S1 S 0.0000 0.0000 0.1440
S2 S 0.0000 0.0000 0.2318
S3 S 0.0000 0.0000 0.5198
S4 S 0.0000 0.0000 0.6075
S5 S 0.3333 0.6667 0.0437
S6 S 0.3333 0.6667 0.3321
S7 S 0.3333 0.6667 0.4194
S8 S 0.3333 0.6667 0.9564
```

Entry 6:
RbGeCl3: computed X-ray powder pattern (Cu Kα (λ = 1.5418 Å)), based on a PBE-relaxed structure.
Intensities are scaled so that the largest is 100.

Largest 6 diffraction maxima, in order of rising 2θ, 10° ≤ 2θ ≤ 90°:
- 20.01 deg, intensity 44
- 20.46 deg, intensity 71
- 25.55 deg, intensity 100
- 30.27 deg, intensity 70
- 33.27 deg, intensity 70
- 34.11 deg, intensity 39

Atomic structure:
```
data_RbGeCl3
_cell_length_a 5.914
_cell_length_b 7.196
_cell_length_c 8.361
_cell_angle_alpha 90.00
_cell_angle_beta 107.59
_cell_angle_gamma 90.00
_space_group_name_H-M_alt 'P 1 21/m 1'
_space_group_IT_number 11
_space_group_name_Hall '-P 2yb'
loop_
_atom_site_label
_atom_site_type_symbol
_atom_site_fract_x
_atom_site_fract_y
_atom_site_fract_z
Rb1 Rb 0.173 0.250 0.299
Ge1 Ge 0.428 0.250 0.873
Cl1 Cl 0.169 0.750 0.117
Cl2 Cl 0.317 0.008 0.677
```